Starting from a structure optimized by DFT (PBE), the X-ray powder pattern of SrCrFe4 was simulated for Cu Kα X-rays.
Neutral-atom scattering factors, no anomalous dispersion.

Structural model:
```
data_SrCrFe4
_chemical_formula_sum 'Sr1 Cr1 Fe4'
_space_group_name_H-M_alt 'P 1'
_space_group_IT_number 1
_cell_length_a 5.110
_cell_length_b 5.110
_cell_length_c 5.110
_cell_angle_alpha 60.00
_cell_angle_beta 60.00
_cell_angle_gamma 60.00
loop_
_space_group_symop_operation_xyz
'x,y,z'
loop_
_atom_site_label
_atom_site_type_symbol
_atom_site_fract_x
_atom_site_fract_y
_atom_site_fract_z
_atom_site_occupancy
Sr1 Sr 0.000 0.000 0.000 1
Cr1 Cr 0.750 0.750 0.750 1
Fe1 Fe 0.378 0.378 0.378 1
Fe2 Fe 0.378 0.378 0.867 1
Fe3 Fe 0.378 0.867 0.378 1
Fe4 Fe 0.867 0.378 0.378 1
```

Peak list (10 most intense, 15 to 90 degrees two-theta, low angle first)
d = 4.172 Å, 2θ 21.30, I 3; d = 3.613 Å, 2θ 24.64, I 4; d = 2.555 Å, 2θ 35.13, I 34; d = 2.179 Å, 2θ 41.44, I 100; d = 2.086 Å, 2θ 43.38, I 34; d = 1.475 Å, 2θ 63.02, I 12; d = 1.391 Å, 2θ 67.33, I 29; d = 1.277 Å, 2θ 74.24, I 23; d = 1.143 Å, 2θ 84.87, I 5; d = 1.102 Å, 2θ 88.79, I 10